(1)
For TeMoWS3, a structure optimized by DFT (PBE) gives the computed powder diffraction line list in this record (Cu Kα (λ = 1.5418 Å)).
Kinematic intensities with the Lorentz-polarization factor, no thermal factor.

Largest 6 diffraction maxima, in order of falling intensity, 2θ from 5° to 70°:
d [Å], Rel. int., hkl
7.435, 100, 0 0 5
2.419, 70, 0 1 8
2.830, 40, 1 0 0
2.012, 34, 1 0 13
6.196, 30, 0 0 6
1.635, 22, 1 1 0

Atomic structure:
a b c (Å): 3.2706 3.2706 37.1753
angles (deg): 90.00 90.00 120.00
Space group P3m1 (No. 156)
Unique sites:
1 Te 0.0000 0.0000 0.0000 [1 per cell]
2 Te 0.0000 0.0000 0.1037 [1 per cell]
3 Mo 0.0000 0.0000 0.4882 [1 per cell]
4 Mo 0.3333 0.6667 0.0519 [1 per cell]
5 W 0.0000 0.0000 0.8639 [1 per cell]
6 W 0.3333 0.6667 0.6761 [1 per cell]
7 S 0.0000 0.0000 0.6345 [1 per cell]
8 S 0.0000 0.0000 0.7177 [1 per cell]
9 S 0.3333 0.6667 0.4468 [1 per cell]
10 S 0.3333 0.6667 0.5296 [1 per cell]
11 S 0.3333 0.6667 0.8223 [1 per cell]
12 S 0.3333 0.6667 0.9055 [1 per cell]


(2)
For Te4Mo3WS4, a structure optimized by DFT (PBE) gives the computed powder diffraction line list in this record (Cu Kα (λ = 1.5418 Å)).
Kinematic intensities with the Lorentz-polarization factor, no thermal factor.

Largest 6 diffraction maxima, in order of falling intensity, 2θ from 5° to 70°:
d [Å], Rel. int., hkl
8.069, 100, 0 0 5
2.519, 75, 1 0 8
2.905, 53, 1 0 0
2.122, 51, 0 1 13
1.679, 22, 1 1 0
2.440, 18, 1 0 9

Atomic structure:
a b c (Å): 3.3580 3.3580 40.3438
angles (deg): 90.00 90.00 120.00
Space group P3m1 (No. 156)
Unique sites:
1 Te 0.0000 0.0000 0.0000 [1 per cell]
2 Te 0.0000 0.0000 0.0937 [1 per cell]
3 Te 0.3333 0.6667 0.1914 [1 per cell]
4 Te 0.3333 0.6667 0.2850 [1 per cell]
5 Mo 0.0000 0.0000 0.2382 [1 per cell]
6 Mo 0.0000 0.0000 0.8606 [1 per cell]
7 Mo 0.3333 0.6667 0.0469 [1 per cell]
8 W 0.3333 0.6667 0.4247 [1 per cell]
9 S 0.0000 0.0000 0.3870 [1 per cell]
10 S 0.0000 0.0000 0.4623 [1 per cell]
11 S 0.3333 0.6667 0.8231 [1 per cell]
12 S 0.3333 0.6667 0.8981 [1 per cell]


(3)
For Te4Mo3WS4, a structure optimized by DFT (PBE) gives the computed powder diffraction line list in this record (Cu Kα (λ = 1.5418 Å)).
Kinematic intensities with the Lorentz-polarization factor, no thermal factor.

Largest 6 diffraction maxima, in order of falling intensity, 2θ from 5° to 70°:
d [Å], Rel. int., hkl
7.968, 100, 0 0 5
2.513, 77, 0 1 8
2.110, 49, 1 0 13
2.908, 46, 1 0 0
13.280, 34, 0 0 3
1.680, 33, 1 1 0

Atomic structure:
a b c (Å): 3.3609 3.3609 39.8388
angles (deg): 90.00 90.00 120.00
Space group P3m1 (No. 156)
Unique sites:
1 Te 0.0000 0.0000 0.0000 [1 per cell]
2 Te 0.0000 0.0000 0.0949 [1 per cell]
3 Te 0.3333 0.6667 0.8088 [1 per cell]
4 Te 0.3333 0.6667 0.9043 [1 per cell]
5 Mo 0.0000 0.0000 0.4823 [1 per cell]
6 Mo 0.3333 0.6667 0.0475 [1 per cell]
7 Mo 0.3333 0.6667 0.6701 [1 per cell]
8 W 0.0000 0.0000 0.8566 [1 per cell]
9 S 0.0000 0.0000 0.6321 [1 per cell]
10 S 0.0000 0.0000 0.7081 [1 per cell]
11 S 0.3333 0.6667 0.4443 [1 per cell]
12 S 0.3333 0.6667 0.5203 [1 per cell]


(4)
For Te4Mo3WS4, a structure optimized by DFT (PBE) gives the computed powder diffraction line list in this record (Cu Kα (λ = 1.5418 Å)).
Kinematic intensities with the Lorentz-polarization factor, no thermal factor.

Largest 6 diffraction maxima, in order of falling intensity, 2θ from 5° to 70°:
d [Å], Rel. int., hkl
2.485, 100, 1 0 8
7.659, 89, 0 0 5
2.907, 58, 1 0 0
12.766, 53, 0 0 3
2.070, 46, 0 1 13
1.679, 30, 1 1 0

Atomic structure:
a b c (Å): 3.3579 3.3579 38.2968
angles (deg): 90.00 90.00 120.00
Space group P3m1 (No. 156)
Unique sites:
1 Te 0.0000 0.0000 0.0000 [1 per cell]
2 Te 0.0000 0.0000 0.0988 [1 per cell]
3 Te 0.0000 0.0000 0.3757 [1 per cell]
4 Te 0.0000 0.0000 0.4745 [1 per cell]
5 Mo 0.0000 0.0000 0.2373 [1 per cell]
6 Mo 0.6667 0.3333 0.0494 [1 per cell]
7 Mo 0.6667 0.3333 0.4251 [1 per cell]
8 W 0.0000 0.0000 0.6130 [1 per cell]
9 S 0.6667 0.3333 0.1977 [1 per cell]
10 S 0.6667 0.3333 0.2768 [1 per cell]
11 S 0.6667 0.3333 0.5733 [1 per cell]
12 S 0.6667 0.3333 0.6527 [1 per cell]


(5)
For Te4Mo3WS4, a structure optimized by DFT (PBE) gives the computed powder diffraction line list in this record (Cu Kα (λ = 1.5418 Å)).
Kinematic intensities with the Lorentz-polarization factor, no thermal factor.

Largest 6 diffraction maxima, in order of falling intensity, 2θ from 5° to 70°:
d [Å], Rel. int., hkl
8.238, 100, 0 0 5
2.534, 62, 0 1 8
13.730, 56, 0 0 3
2.144, 47, 0 1 13
2.909, 37, 1 0 0
1.680, 27, 1 1 0

Atomic structure:
a b c (Å): 3.3612 3.3612 41.1913
angles (deg): 90.00 90.00 120.00
Space group P3m1 (No. 156)
Unique sites:
1 Te 0.0000 0.0000 0.0000 [1 per cell]
2 Te 0.0000 0.0000 0.0918 [1 per cell]
3 Te 0.3333 0.6667 0.8060 [1 per cell]
4 Te 0.3333 0.6667 0.8978 [1 per cell]
5 Mo 0.0000 0.0000 0.2311 [1 per cell]
6 Mo 0.0000 0.0000 0.8519 [1 per cell]
7 Mo 0.3333 0.6667 0.0459 [1 per cell]
8 W 0.3333 0.6667 0.4186 [1 per cell]
9 S 0.0000 0.0000 0.3817 [1 per cell]
10 S 0.0000 0.0000 0.4555 [1 per cell]
11 S 0.3333 0.6667 0.1943 [1 per cell]
12 S 0.3333 0.6667 0.2678 [1 per cell]


(6)
For Te6MoW3S2, a structure optimized by DFT (PBE) gives the computed powder diffraction line list in this record (Cu Kα (λ = 1.5418 Å)).
Kinematic intensities with the Lorentz-polarization factor, no thermal factor.

Largest 6 diffraction maxima, in order of falling intensity, 2θ from 5° to 70°:
d [Å], Rel. int., hkl
7.860, 100, 0 0 5
2.560, 99, 1 0 8
13.100, 73, 0 0 3
2.129, 54, 1 0 13
2.998, 44, 1 0 0
1.732, 33, 1 1 0

Atomic structure:
a b c (Å): 3.4635 3.4635 39.2993
angles (deg): 90.00 90.00 120.00
Space group P3m1 (No. 156)
Unique sites:
1 Te 0.0000 0.0000 0.0000 [1 per cell]
2 Te 0.0000 0.0000 0.0944 [1 per cell]
3 Te 0.0000 0.0000 0.3757 [1 per cell]
4 Te 0.0000 0.0000 0.4701 [1 per cell]
5 Te 0.6667 0.3333 0.5636 [1 per cell]
6 Te 0.6667 0.3333 0.6580 [1 per cell]
7 Mo 0.0000 0.0000 0.2351 [1 per cell]
8 W 0.0000 0.0000 0.6109 [1 per cell]
9 W 0.6667 0.3333 0.0472 [1 per cell]
10 W 0.6667 0.3333 0.4229 [1 per cell]
11 S 0.6667 0.3333 0.1972 [1 per cell]
12 S 0.6667 0.3333 0.2729 [1 per cell]


(7)
For Te2Mo2WS4, a structure optimized by DFT (PBE) gives the computed powder diffraction line list in this record (Cu Kα (λ = 1.5418 Å)).
Kinematic intensities with the Lorentz-polarization factor, no thermal factor.

Largest 6 diffraction maxima, in order of falling intensity, 2θ from 5° to 70°:
d [Å], Rel. int., hkl
7.637, 100, 0 0 4
15.274, 96, 0 0 2
2.391, 58, 1 0 7
2.492, 51, 0 1 6
2.858, 34, 1 0 0
1.992, 32, 1 0 11

Atomic structure:
a b c (Å): 3.3001 3.3001 30.5477
angles (deg): 90.00 90.00 120.00
Space group P3m1 (No. 156)
Unique sites:
1 Te 0.0000 0.0000 0.0000 [1 per cell]
2 Te 0.0000 0.0000 0.1255 [1 per cell]
3 Mo 0.6667 0.3333 0.0628 [1 per cell]
4 Mo 0.6667 0.3333 0.6000 [1 per cell]
5 W 0.0000 0.0000 0.8313 [1 per cell]
6 S 0.0000 0.0000 0.5499 [1 per cell]
7 S 0.0000 0.0000 0.6501 [1 per cell]
8 S 0.6667 0.3333 0.7810 [1 per cell]
9 S 0.6667 0.3333 0.8816 [1 per cell]


(8)
For Te6MoW3S2, a structure optimized by DFT (PBE) gives the computed powder diffraction line list in this record (Cu Kα (λ = 1.5418 Å)).
Kinematic intensities with the Lorentz-polarization factor, no thermal factor.

Largest 6 diffraction maxima, in order of falling intensity, 2θ from 5° to 70°:
d [Å], Rel. int., hkl
7.886, 100, 0 0 5
2.559, 95, 1 0 8
2.131, 55, 0 1 13
2.992, 50, 1 0 0
1.728, 39, 1 1 0
13.143, 27, 0 0 3

Atomic structure:
a b c (Å): 3.4574 3.4574 39.4283
angles (deg): 90.00 90.00 120.00
Space group P3m1 (No. 156)
Unique sites:
1 Te 0.0000 0.0000 0.0000 [1 per cell]
2 Te 0.0000 0.0000 0.0943 [1 per cell]
3 Te 0.0000 0.0000 0.3758 [1 per cell]
4 Te 0.0000 0.0000 0.4701 [1 per cell]
5 Te 0.3333 0.6667 0.1879 [1 per cell]
6 Te 0.3333 0.6667 0.2822 [1 per cell]
7 Mo 0.0000 0.0000 0.8594 [1 per cell]
8 W 0.0000 0.0000 0.2351 [1 per cell]
9 W 0.3333 0.6667 0.0472 [1 per cell]
10 W 0.3333 0.6667 0.4230 [1 per cell]
11 S 0.3333 0.6667 0.8215 [1 per cell]
12 S 0.3333 0.6667 0.8972 [1 per cell]


(9)
For TeMoWS3, a structure optimized by DFT (PBE) gives the computed powder diffraction line list in this record (Cu Kα (λ = 1.5418 Å)).
Kinematic intensities with the Lorentz-polarization factor, no thermal factor.

Largest 6 diffraction maxima, in order of falling intensity, 2θ from 5° to 70°:
d [Å], Rel. int., hkl
7.429, 100, 0 0 5
2.418, 72, 1 0 8
12.382, 41, 0 0 3
2.012, 33, 0 1 13
2.831, 33, 1 0 0
6.191, 31, 0 0 6

Atomic structure:
a b c (Å): 3.2713 3.2713 37.1465
angles (deg): 90.00 90.00 120.00
Space group P3m1 (No. 156)
Unique sites:
1 Te 0.0000 0.0000 0.0000 [1 per cell]
2 Te 0.0000 0.0000 0.1037 [1 per cell]
3 Mo 0.0000 0.0000 0.2398 [1 per cell]
4 Mo 0.6667 0.3333 0.0519 [1 per cell]
5 W 0.0000 0.0000 0.6155 [1 per cell]
6 W 0.6667 0.3333 0.4276 [1 per cell]
7 S 0.0000 0.0000 0.3861 [1 per cell]
8 S 0.0000 0.0000 0.4692 [1 per cell]
9 S 0.6667 0.3333 0.1984 [1 per cell]
10 S 0.6667 0.3333 0.2812 [1 per cell]
11 S 0.6667 0.3333 0.5740 [1 per cell]
12 S 0.6667 0.3333 0.6571 [1 per cell]


(10)
For Te2MoW2S4, a structure optimized by DFT (PBE) gives the computed powder diffraction line list in this record (Cu Kα (λ = 1.5418 Å)).
Kinematic intensities with the Lorentz-polarization factor, no thermal factor.

Largest 6 diffraction maxima, in order of falling intensity, 2θ from 5° to 70°:
d [Å], Rel. int., hkl
15.251, 100, 0 0 2
7.626, 76, 0 0 4
2.388, 37, 0 1 7
2.490, 34, 1 0 6
1.989, 22, 0 1 11
6.100, 21, 0 0 5

Atomic structure:
a b c (Å): 3.2974 3.2974 30.5021
angles (deg): 90.00 90.00 120.00
Space group P3m1 (No. 156)
Unique sites:
1 Te 0.0000 0.0000 0.0000 [1 per cell]
2 Te 0.0000 0.0000 0.1254 [1 per cell]
3 Mo 0.6667 0.3333 0.0627 [1 per cell]
4 W 0.0000 0.0000 0.2941 [1 per cell]
5 W 0.6667 0.3333 0.5254 [1 per cell]
6 S 0.0000 0.0000 0.4750 [1 per cell]
7 S 0.0000 0.0000 0.5758 [1 per cell]
8 S 0.6667 0.3333 0.2437 [1 per cell]
9 S 0.6667 0.3333 0.3444 [1 per cell]


(11)
For Te2MoW2S4, a structure optimized by DFT (PBE) gives the computed powder diffraction line list in this record (Cu Kα (λ = 1.5418 Å)).
Kinematic intensities with the Lorentz-polarization factor, no thermal factor.

Largest 6 diffraction maxima, in order of falling intensity, 2θ from 5° to 70°:
d [Å], Rel. int., hkl
7.646, 100, 0 0 4
2.393, 57, 0 1 7
2.494, 52, 1 0 6
1.994, 30, 0 1 11
1.651, 29, 1 1 0
2.860, 28, 1 0 0

Atomic structure:
a b c (Å): 3.3029 3.3029 30.5825
angles (deg): 90.00 90.00 120.00
Space group P3m1 (No. 156)
Unique sites:
1 Te 0.0000 0.0000 0.0000 [1 per cell]
2 Te 0.0000 0.0000 0.1261 [1 per cell]
3 Mo 0.0000 0.0000 0.8317 [1 per cell]
4 W 0.0000 0.0000 0.2944 [1 per cell]
5 W 0.3333 0.6667 0.0630 [1 per cell]
6 S 0.3333 0.6667 0.2442 [1 per cell]
7 S 0.3333 0.6667 0.3447 [1 per cell]
8 S 0.3333 0.6667 0.7817 [1 per cell]
9 S 0.3333 0.6667 0.8817 [1 per cell]


(12)
For Te6MoW3S2, a structure optimized by DFT (PBE) gives the computed powder diffraction line list in this record (Cu Kα (λ = 1.5418 Å)).
Kinematic intensities with the Lorentz-polarization factor, no thermal factor.

Largest 6 diffraction maxima, in order of falling intensity, 2θ from 5° to 70°:
d [Å], Rel. int., hkl
7.868, 100, 0 0 5
2.558, 99, 1 0 8
2.129, 54, 1 0 13
13.114, 53, 0 0 3
2.993, 50, 1 0 0
1.729, 32, 1 1 0

Atomic structure:
a b c (Å): 3.4576 3.4576 39.3407
angles (deg): 90.00 90.00 120.00
Space group P3m1 (No. 156)
Unique sites:
1 Te 0.0000 0.0000 0.0000 [1 per cell]
2 Te 0.0000 0.0000 0.0940 [1 per cell]
3 Te 0.0000 0.0000 0.3754 [1 per cell]
4 Te 0.0000 0.0000 0.4698 [1 per cell]
5 Te 0.3333 0.6667 0.8116 [1 per cell]
6 Te 0.3333 0.6667 0.9061 [1 per cell]
7 Mo 0.3333 0.6667 0.0470 [1 per cell]
8 W 0.0000 0.0000 0.2347 [1 per cell]
9 W 0.0000 0.0000 0.8588 [1 per cell]
10 W 0.3333 0.6667 0.4226 [1 per cell]
11 S 0.3333 0.6667 0.1969 [1 per cell]
12 S 0.3333 0.6667 0.2725 [1 per cell]


(13)
For Te4Mo3WS4, a structure optimized by DFT (PBE) gives the computed powder diffraction line list in this record (Cu Kα (λ = 1.5418 Å)).
Kinematic intensities with the Lorentz-polarization factor, no thermal factor.

Largest 6 diffraction maxima, in order of falling intensity, 2θ from 5° to 70°:
d [Å], Rel. int., hkl
7.867, 100, 0 0 5
2.506, 87, 0 1 8
2.098, 51, 0 1 13
2.910, 50, 1 0 0
13.111, 49, 0 0 3
1.681, 34, 1 1 0

Atomic structure:
a b c (Å): 3.3635 3.3635 39.3325
angles (deg): 90.00 90.00 120.00
Space group P3m1 (No. 156)
Unique sites:
1 Te 0.0000 0.0000 0.0000 [1 per cell]
2 Te 0.0000 0.0000 0.0965 [1 per cell]
3 Te 0.3333 0.6667 0.8102 [1 per cell]
4 Te 0.3333 0.6667 0.9062 [1 per cell]
5 Mo 0.0000 0.0000 0.4835 [1 per cell]
6 Mo 0.0000 0.0000 0.8582 [1 per cell]
7 Mo 0.3333 0.6667 0.6713 [1 per cell]
8 W 0.3333 0.6667 0.0483 [1 per cell]
9 S 0.0000 0.0000 0.6328 [1 per cell]
10 S 0.0000 0.0000 0.7097 [1 per cell]
11 S 0.3333 0.6667 0.4451 [1 per cell]
12 S 0.3333 0.6667 0.5219 [1 per cell]